For Cs9K6Hg, a structure optimized by DFT (GGA-PBE) gives the theoretical X-ray diffraction stick pattern in this record (Cu Kα (weighted mean of Kα1 and Kα2)).
Kinematic intensities with the Lorentz-polarization factor, no thermal factor.

Cell and atoms:
a b c (Å): 13.302 13.302 13.302
angles (deg): 126.96 126.96 78.32
Atoms (fractional coordinates):
Cs  0.000  0.000  0.000
Cs  0.042  0.848  0.576
Cs  0.152  0.728  0.194
Cs  0.272  0.466  0.424
Cs  0.466  0.042  0.194
Cs  0.534  0.958  0.806
Cs  0.728  0.534  0.576
Cs  0.848  0.272  0.806
Cs  0.958  0.152  0.424
K  0.215  0.591  0.806
K  0.328  0.328  0.000
K  0.409  0.215  0.624
K  0.591  0.785  0.376
K  0.672  0.672  0.000
K  0.785  0.409  0.194
Hg  0.500  0.500  0.000

The 12 most intense peaks (10° ≤ 2θ ≤ 90°), most intense first:
2θ/deg  I_rel
21.1  100
23.7  60
17.2  41
35.4  38
43.0  35
40.2  28
33.7  28
25.9  24
13.6  21
34.8  21
22.8  16
20.2  14